Structure and computed X-ray diffraction stick pattern of HfMg14Cd (a cell relaxed with GGA-PBE; Cu Ka).
Intensities are scaled so that the largest is 100.

Most intense lines, 5° ≤ 2θ ≤ 70°, by angle:
- 2θ = 16.0°, d 5.539, rel. 68, (1 0 0)
- 2θ = 23.8°, d 3.743, rel. 52, (1 0 2)
- 2θ = 32.3°, d 2.770, rel. 32, (2 0 0)
- 2θ = 33.1°, d 2.706, rel. 23, (1 1 2)
- 2θ = 35.3°, d 2.539, rel. 24, (0 0 4)
- 2θ = 37.0°, d 2.432, rel. 100, (2 0 2)
- 2θ = 46.9°, d 1.936, rel. 18, (2 1 2)
- 2θ = 48.6°, d 1.872, rel. 20, (2 0 4)
- 2θ = 64.5°, d 1.444, rel. 19, (2 0 6)
- 2θ = 69.5°, d 1.353, rel. 19, (2 2 4)

Crystal structure
```
data_HfMg14Cd
_symmetry_space_group_name_H-M 'P -6 m 2'
_symmetry_Int_Tables_number 187
_symmetry_space_group_name_Hall 'P -6 2'
_cell_length_a 6.3962
_cell_length_b 6.3962
_cell_length_c 10.1569
_cell_angle_alpha 90.00
_cell_angle_beta 90.00
_cell_angle_gamma 120.00
loop_
_atom_site_label
_atom_site_type_symbol
_atom_site_fract_x
_atom_site_fract_y
_atom_site_fract_z
Hf1 Hf 0.0000 0.0000 0.0000
Mg1 Mg 0.0048 0.5024 0.0000
Mg2 Mg 0.1639 0.3279 0.2495
Mg3 Mg 0.5008 0.0016 0.5000
Mg4 Mg 0.6667 0.3333 0.2480
Cd1 Cd 0.0000 0.0000 0.5000
```


Structure and computed X-ray diffraction stick pattern of HfMg6CdO8 (a cell relaxed with GGA-PBE; Cu Ka).
Intensities are scaled so that the largest is 100.

Most intense lines, 5° ≤ 2θ ≤ 70°, by angle:
- 2θ = 19.6°, d 4.540, rel. 53, (0 0 2)
- 2θ = 19.9°, d 4.462, rel. 100, (1 0 0)
- 2θ = 28.0°, d 3.182, rel. 89, (1 0 2)
- 2θ = 28.3°, d 3.155, rel. 43, (1 1 0)
- 2θ = 34.6°, d 2.591, rel. 86, (1 1 2)
- 2θ = 39.7°, d 2.270, rel. 48, (0 0 4)
- 2θ = 40.4°, d 2.231, rel. 95, (2 0 0)
- 2θ = 49.9°, d 1.827, rel. 36, (2 1 2)
- 2θ = 58.0°, d 1.591, rel. 58, (2 0 4)
- 2θ = 58.5°, d 1.578, rel. 29, (2 2 0)

Crystal structure
```
data_HfMg6CdO8
_symmetry_space_group_name_H-M 'P 4/m m m'
_symmetry_Int_Tables_number 123
_symmetry_space_group_name_Hall '-P 4 2'
_cell_length_a 4.4620
_cell_length_b 4.4620
_cell_length_c 9.0794
_cell_angle_alpha 90.00
_cell_angle_beta 90.00
_cell_angle_gamma 90.00
loop_
_atom_site_label
_atom_site_type_symbol
_atom_site_fract_x
_atom_site_fract_y
_atom_site_fract_z
Hf1 Hf 0.0000 0.0000 0.0000
Mg1 Mg 0.0000 0.5000 0.2602
Mg2 Mg 0.5000 0.5000 0.0000
Mg3 Mg 0.5000 0.5000 0.5000
Cd1 Cd 0.0000 0.0000 0.5000
O1 O 0.0000 0.0000 0.2261
O2 O 0.0000 0.5000 0.0000
O3 O 0.0000 0.5000 0.5000
O4 O 0.5000 0.5000 0.2523
```


Structure and computed X-ray diffraction stick pattern of HfMg14CdO16 (a cell relaxed with GGA-PBE; Cu Ka).
Intensities are scaled so that the largest is 100.

Most intense lines, 5° ≤ 2θ ≤ 70°, by angle:
- 2θ = 10.1°, d 8.759, rel. 100, (0 1 0)
- 2θ = 22.5°, d 3.944, rel. 37, (0 1 2)
- 2θ = 22.8°, d 3.898, rel. 35, (1 1 0)
- 2θ = 28.8°, d 3.105, rel. 42, (0 2 2)
- 2θ = 30.6°, d 2.921, rel. 54, (0 3 0)
- 2θ = 35.5°, d 2.530, rel. 63, (1 2 2)
- 2θ = 40.9°, d 2.209, rel. 57, (0 0 4)
- 2θ = 41.3°, d 2.188, rel. 55, (0 4 0)
- 2θ = 41.5°, d 2.177, rel. 55, (2 0 0)
- 2θ = 59.6°, d 1.550, rel. 33, (2 0 4)

Crystal structure
```
data_HfMg14CdO16
_symmetry_space_group_name_H-M 'P m m m'
_symmetry_Int_Tables_number 47
_cell_length_a 4.3534
_cell_length_b 8.7530
_cell_length_c 8.8359
_cell_angle_alpha 90.00
_cell_angle_beta 90.00
_cell_angle_gamma 90.00
loop_
_symmetry_equiv_pos_as_xyz
'x,y,z'
'-x,-y,-z'
'-x,-y,z'
'x,y,-z'
'x,-y,-z'
'-x,y,z'
'-x,y,-z'
'x,-y,z'
loop_
_atom_site_label
_atom_site_type_symbol
_atom_site_fract_x
_atom_site_fract_y
_atom_site_fract_z
Hf1 Hf 0.0000 0.0000 0.0000
Mg1 Mg 0.0000 0.2594 0.2564
Mg2 Mg 0.0000 0.5000 0.0000
Mg3 Mg 0.0000 0.5000 0.5000
Mg4 Mg 0.5000 0.0000 0.2599
Mg5 Mg 0.5000 0.2561 0.5000
Mg6 Mg 0.5000 0.2593 0.0000
Mg7 Mg 0.5000 0.5000 0.2515
Cd1 Cd 0.0000 0.0000 0.5000
O1 O 0.0000 0.0000 0.2298
O2 O 0.0000 0.2532 0.0000
O3 O 0.0000 0.2741 0.5000
O4 O 0.0000 0.5000 0.2431
O5 O 0.5000 0.0000 0.0000
O6 O 0.5000 0.0000 0.5000
O7 O 0.5000 0.2506 0.2473
O8 O 0.5000 0.5000 0.0000
O9 O 0.5000 0.5000 0.5000
```


Structure and computed X-ray diffraction stick pattern of HfMg14CdO16 (a cell relaxed with GGA-PBE; Cu Ka).
Intensities are scaled so that the largest is 100.

Most intense lines, 5° ≤ 2θ ≤ 70°, by angle:
- 2θ = 14.3°, d 6.203, rel. 82, (1 1 0)
- 2θ = 20.2°, d 4.387, rel. 45, (2 0 0)
- 2θ = 25.0°, d 3.562, rel. 53, (1 1 1)
- 2θ = 28.9°, d 3.089, rel. 37, (2 0 1)
- 2θ = 32.3°, d 2.774, rel. 31, (3 1 0)
- 2θ = 35.5°, d 2.525, rel. 56, (2 2 1)
- 2θ = 38.5°, d 2.339, rel. 34, (3 1 1)
- 2θ = 41.2°, d 2.193, rel. 100, (4 0 0)
- 2θ = 41.5°, d 2.175, rel. 50, (0 0 2)
- 2θ = 59.9°, d 1.544, rel. 59, (4 0 2)

Crystal structure
```
data_HfMg14CdO16
_symmetry_space_group_name_H-M 'P 4/m m m'
_symmetry_Int_Tables_number 123
_symmetry_space_group_name_Hall '-P 4 2'
_cell_length_a 8.7730
_cell_length_b 8.7730
_cell_length_c 4.3501
_cell_angle_alpha 90.00
_cell_angle_beta 90.00
_cell_angle_gamma 90.00
loop_
_atom_site_label
_atom_site_type_symbol
_atom_site_fract_x
_atom_site_fract_y
_atom_site_fract_z
Hf1 Hf 0.0000 0.0000 0.0000
Mg1 Mg 0.0000 0.2600 0.5000
Mg2 Mg 0.0000 0.5000 0.0000
Mg3 Mg 0.2479 0.5000 0.5000
Mg4 Mg 0.2564 0.2564 0.0000
Cd1 Cd 0.5000 0.5000 0.0000
O1 O 0.0000 0.0000 0.5000
O2 O 0.0000 0.2449 0.0000
O3 O 0.0000 0.5000 0.5000
O4 O 0.2254 0.5000 0.0000
O5 O 0.2469 0.2469 0.5000
O6 O 0.5000 0.5000 0.5000
```


Structure and computed X-ray diffraction stick pattern of HfMg6CdO8 (a cell relaxed with GGA-PBE; Cu Ka).
Intensities are scaled so that the largest is 100.

Most intense lines, 5° ≤ 2θ ≤ 70°, by angle:
- 2θ = 9.9°, d 8.963, rel. 100, (0 0 1)
- 2θ = 19.8°, d 4.482, rel. 27, (0 0 2)
- 2θ = 28.4°, d 3.145, rel. 22, (1 1 0)
- 2θ = 30.1°, d 2.968, rel. 38, (1 1 1)
- 2θ = 34.8°, d 2.574, rel. 43, (1 1 2)
- 2θ = 40.2°, d 2.241, rel. 23, (0 0 4)
- 2θ = 40.6°, d 2.224, rel. 48, (2 0 0)
- 2θ = 41.7°, d 2.166, rel. 14, (1 1 3)
- 2θ = 58.5°, d 1.579, rel. 29, (2 0 4)
- 2θ = 58.7°, d 1.573, rel. 15, (2 2 0)

Crystal structure
```
data_HfMg6CdO8
_symmetry_space_group_name_H-M 'P 4/m m m'
_symmetry_Int_Tables_number 123
_symmetry_space_group_name_Hall '-P 4 2'
_cell_length_a 4.4479
_cell_length_b 4.4479
_cell_length_c 8.9633
_cell_angle_alpha 90.00
_cell_angle_beta 90.00
_cell_angle_gamma 90.00
loop_
_atom_site_label
_atom_site_type_symbol
_atom_site_fract_x
_atom_site_fract_y
_atom_site_fract_z
Hf1 Hf 0.0000 0.0000 0.0000
Mg1 Mg 0.0000 0.0000 0.5000
Mg2 Mg 0.0000 0.5000 0.2649
Mg3 Mg 0.5000 0.5000 0.5000
Cd1 Cd 0.5000 0.5000 0.0000
O1 O 0.0000 0.0000 0.2544
O2 O 0.0000 0.5000 0.0000
O3 O 0.0000 0.5000 0.5000
O4 O 0.5000 0.5000 0.2745
```


Structure and computed X-ray diffraction stick pattern of HfCdO3 (a cell relaxed with GGA-PBE; Cu Ka).
Intensities are scaled so that the largest is 100.

Most intense lines, 5° ≤ 2θ ≤ 70°, by angle:
- 2θ = 21.7°, d 4.098, rel. 10, (1 0 0)
- 2θ = 30.9°, d 2.898, rel. 100, (1 1 0)
- 2θ = 44.2°, d 2.049, rel. 28, (2 0 0)
- 2θ = 49.8°, d 1.833, rel. 4, (2 1 0)
- 2θ = 54.9°, d 1.673, rel. 40, (2 1 1)
- 2θ = 64.3°, d 1.449, rel. 17, (2 2 0)
- 2θ = 68.7°, d 1.366, rel. 2, (3 0 0)

Crystal structure
```
data_HfCdO3
_symmetry_space_group_name_H-M 'P m -3 m'
_symmetry_Int_Tables_number 221
_symmetry_space_group_name_Hall '-P 4 2 3'
_cell_length_a 4.0981
_cell_length_b 4.0981
_cell_length_c 4.0981
_cell_angle_alpha 90.00
_cell_angle_beta 90.00
_cell_angle_gamma 90.00
loop_
_atom_site_label
_atom_site_type_symbol
_atom_site_fract_x
_atom_site_fract_y
_atom_site_fract_z
Hf1 Hf 0.0000 0.0000 0.0000
Cd1 Cd 0.5000 0.5000 0.5000
O1 O 0.0000 0.0000 0.5000
```


Structure and computed X-ray diffraction stick pattern of HfCdO3 (a cell relaxed with GGA-PBE; Cu Ka).
Intensities are scaled so that the largest is 100.

Most intense lines, 5° ≤ 2θ ≤ 70°, by angle:
- 2θ = 22.3°, d 3.985, rel. 9, (1 0 1)
- 2θ = 31.3°, d 2.858, rel. 24, (2 0 0)
- 2θ = 31.6°, d 2.831, rel. 100, (1 2 1)
- 2θ = 32.2°, d 2.779, rel. 23, (0 0 2)
- 2θ = 45.1°, d 2.011, rel. 12, (0 4 0)
- 2θ = 45.5°, d 1.992, rel. 21, (2 0 2)
- 2θ = 55.9°, d 1.645, rel. 28, (2 4 0)
- 2θ = 56.5°, d 1.629, rel. 11, (0 4 2)
- 2θ = 57.1°, d 1.614, rel. 22, (1 2 3)
- 2θ = 66.0°, d 1.416, rel. 12, (2 4 2)

Crystal structure
```
data_HfCdO3
_symmetry_space_group_name_H-M 'P n m a'
_symmetry_Int_Tables_number 62
_cell_length_a 5.7166
_cell_length_b 8.0459
_cell_length_c 5.5571
_cell_angle_alpha 90.00
_cell_angle_beta 90.00
_cell_angle_gamma 90.00
loop_
_symmetry_equiv_pos_as_xyz
'x,y,z'
'-x,-y,-z'
'-x+1/2,-y,z+1/2'
'x+1/2,y,-z+1/2'
'x+1/2,-y+1/2,-z+1/2'
'-x+1/2,y+1/2,z+1/2'
'-x,y+1/2,-z'
'x,-y+1/2,z'
loop_
_atom_site_label
_atom_site_type_symbol
_atom_site_fract_x
_atom_site_fract_y
_atom_site_fract_z
Hf1 Hf 0.0000 0.0000 0.0000
Cd1 Cd 0.0452 0.2500 0.4891
O1 O 0.0439 0.7500 0.1073
O2 O 0.1956 0.5570 0.6924
```


Structure and computed X-ray diffraction stick pattern of Cd3Hg (a cell relaxed with GGA-PBE; Cu Ka).
Intensities are scaled so that the largest is 100.

Most intense lines, 5° ≤ 2θ ≤ 70°, by angle:
- 2θ = 16.0°, d 5.545, rel. 3, (1 0 0)
- 2θ = 23.5°, d 3.792, rel. 7, (1 0 1)
- 2θ = 27.9°, d 3.202, rel. 3, (1 1 0)
- 2θ = 32.3°, d 2.773, rel. 24, (2 0 0)
- 2θ = 34.5°, d 2.599, rel. 26, (0 0 2)
- 2θ = 36.7°, d 2.446, rel. 100, (2 0 1)
- 2θ = 48.0°, d 1.896, rel. 15, (2 0 2)
- 2θ = 57.6°, d 1.601, rel. 18, (2 2 0)
- 2θ = 63.3°, d 1.469, rel. 20, (2 0 3)
- 2θ = 68.9°, d 1.363, rel. 20, (2 2 2)

Crystal structure
```
data_Cd3Hg
_symmetry_space_group_name_H-M 'P 63/m m c'
_symmetry_Int_Tables_number 194
_symmetry_space_group_name_Hall '-P 6c 2c'
_cell_length_a 6.4031
_cell_length_b 6.4031
_cell_length_c 5.1978
_cell_angle_alpha 90.00
_cell_angle_beta 90.00
_cell_angle_gamma 120.00
loop_
_atom_site_label
_atom_site_type_symbol
_atom_site_fract_x
_atom_site_fract_y
_atom_site_fract_z
Cd1 Cd 0.1667 0.3335 0.2500
Hg1 Hg 0.3333 0.6667 0.7500
```


Structure and computed X-ray diffraction stick pattern of Cd3Hg (a cell relaxed with GGA-PBE; Cu Ka).
Intensities are scaled so that the largest is 100.

Most intense lines, 5° ≤ 2θ ≤ 70°, by angle:
- 2θ = 7.9°, d 11.233, rel. 13, (0 0 1)
- 2θ = 15.8°, d 5.617, rel. 4, (0 0 2)
- 2θ = 31.9°, d 2.808, rel. 32, (0 0 4)
- 2θ = 33.0°, d 2.717, rel. 24, (1 0 0)
- 2θ = 33.9°, d 2.641, rel. 4, (1 0 1)
- 2θ = 36.7°, d 2.446, rel. 100, (1 0 2)
- 2θ = 46.5°, d 1.953, rel. 18, (1 0 4)
- 2θ = 58.9°, d 1.568, rel. 16, (1 1 0)
- 2θ = 60.0°, d 1.542, rel. 23, (1 0 6)
- 2θ = 68.5°, d 1.369, rel. 20, (1 1 4)

Crystal structure
```
data_Cd3Hg
_symmetry_space_group_name_H-M 'P -6 m 2'
_symmetry_Int_Tables_number 187
_symmetry_space_group_name_Hall 'P -6 2'
_cell_length_a 3.1370
_cell_length_b 3.1370
_cell_length_c 11.2332
_cell_angle_alpha 90.00
_cell_angle_beta 90.00
_cell_angle_gamma 120.00
loop_
_atom_site_label
_atom_site_type_symbol
_atom_site_fract_x
_atom_site_fract_y
_atom_site_fract_z
Cd1 Cd 0.0000 0.0000 0.0000
Cd2 Cd 0.3333 0.6667 0.2449
Hg1 Hg 0.0000 0.0000 0.5000
```


Structure and computed X-ray diffraction stick pattern of Ho2CdHg (a cell relaxed with GGA-PBE; Cu Ka).
Intensities are scaled so that the largest is 100.

Most intense lines, 5° ≤ 2θ ≤ 70°, by angle:
- 2θ = 20.7°, d 4.299, rel. 4, (1 1 1)
- 2θ = 34.1°, d 2.632, rel. 100, (2 2 0)
- 2θ = 40.2°, d 2.245, rel. 2, (3 1 1)
- 2θ = 48.9°, d 1.861, rel. 18, (4 0 0)
- 2θ = 53.7°, d 1.708, rel. 1, (3 3 1)
- 2θ = 61.0°, d 1.520, rel. 37, (4 2 2)
- 2θ = 65.1°, d 1.433, rel. 1, (5 1 1)

Crystal structure
```
data_Ho2CdHg
_symmetry_space_group_name_H-M 'F m -3 m'
_symmetry_Int_Tables_number 225
_symmetry_space_group_name_Hall '-F 4 2 3'
_cell_length_a 7.4452
_cell_length_b 7.4452
_cell_length_c 7.4452
_cell_angle_alpha 90.00
_cell_angle_beta 90.00
_cell_angle_gamma 90.00
loop_
_atom_site_label
_atom_site_type_symbol
_atom_site_fract_x
_atom_site_fract_y
_atom_site_fract_z
Ho1 Ho 0.2500 0.2500 0.2500
Cd1 Cd 0.0000 0.0000 0.0000
Hg1 Hg 0.0000 0.0000 0.5000
```


Structure and computed X-ray diffraction stick pattern of La2CdHg (a cell relaxed with GGA-PBE; Cu Ka).
Intensities are scaled so that the largest is 100.

Most intense lines, 5° ≤ 2θ ≤ 70°, by angle:
- 2θ = 19.6°, d 4.539, rel. 4, (1 1 1)
- 2θ = 22.6°, d 3.931, rel. 1, (2 0 0)
- 2θ = 32.2°, d 2.780, rel. 100, (2 2 0)
- 2θ = 38.0°, d 2.371, rel. 3, (3 1 1)
- 2θ = 46.2°, d 1.966, rel. 18, (4 0 0)
- 2θ = 50.6°, d 1.804, rel. 1, (3 3 1)
- 2θ = 57.4°, d 1.605, rel. 38, (4 2 2)
- 2θ = 61.3°, d 1.513, rel. 1, (5 1 1)
- 2θ = 67.4°, d 1.390, rel. 12, (4 4 0)

Crystal structure
```
data_La2CdHg
_symmetry_space_group_name_H-M 'F m -3 m'
_symmetry_Int_Tables_number 225
_symmetry_space_group_name_Hall '-F 4 2 3'
_cell_length_a 7.8623
_cell_length_b 7.8623
_cell_length_c 7.8623
_cell_angle_alpha 90.00
_cell_angle_beta 90.00
_cell_angle_gamma 90.00
loop_
_atom_site_label
_atom_site_type_symbol
_atom_site_fract_x
_atom_site_fract_y
_atom_site_fract_z
La1 La 0.2500 0.2500 0.2500
Cd1 Cd 0.0000 0.0000 0.0000
Hg1 Hg 0.0000 0.0000 0.5000
```


Structure and computed X-ray diffraction stick pattern of Li2CdHg (a cell relaxed with GGA-PBE; Cu Ka).
Intensities are scaled so that the largest is 100.

Most intense lines, 5° ≤ 2θ ≤ 70°, by angle:
- 2θ = 23.1°, d 3.847, rel. 14, (1 1 1)
- 2θ = 26.8°, d 3.332, rel. 100, (2 0 0)
- 2θ = 38.2°, d 2.356, rel. 90, (2 2 0)
- 2θ = 45.1°, d 2.009, rel. 8, (3 1 1)
- 2θ = 47.2°, d 1.924, rel. 29, (2 2 2)
- 2θ = 55.1°, d 1.666, rel. 15, (4 0 0)
- 2θ = 60.6°, d 1.529, rel. 4, (3 3 1)
- 2θ = 62.3°, d 1.490, rel. 37, (4 2 0)
- 2θ = 69.0°, d 1.360, rel. 31, (4 2 2)

Crystal structure
```
data_Li2CdHg
_symmetry_space_group_name_H-M 'F m -3 m'
_symmetry_Int_Tables_number 225
_symmetry_space_group_name_Hall '-F 4 2 3'
_cell_length_a 6.6639
_cell_length_b 6.6639
_cell_length_c 6.6639
_cell_angle_alpha 90.00
_cell_angle_beta 90.00
_cell_angle_gamma 90.00
loop_
_atom_site_label
_atom_site_type_symbol
_atom_site_fract_x
_atom_site_fract_y
_atom_site_fract_z
Li1 Li 0.2500 0.2500 0.2500
Cd1 Cd 0.0000 0.0000 0.0000
Hg1 Hg 0.0000 0.0000 0.5000
```